Record 1
Diffraction record for Pm3Al3Ir2. The powder XRD pattern is simulated, not measured: it uses a PBE-relaxed structure and Cu Kα (weighted mean of Kα1 and Kα2).
No peak broadening, texture or thermal motion is included.

Structure:
```
Pm3Al3Ir2
1.0
7.9437 0.0000 0.0000
0.0000 15.2487 0.0000
0.0000 0.0000 5.8772
Pm Al Ir
12 12 8
direct
0.0291 0.1085 0.1037 Pm
0.0291 0.3915 0.1037 Pm
0.1635 0.2500 0.6192 Pm
0.3365 0.7500 0.1192 Pm
0.4709 0.6085 0.6037 Pm
0.4709 0.8915 0.6037 Pm
0.5291 0.1085 0.3963 Pm
0.5291 0.3915 0.3963 Pm
0.6635 0.2500 0.8808 Pm
0.8365 0.7500 0.3808 Pm
0.9709 0.6085 0.8963 Pm
0.9709 0.8915 0.8963 Pm
0.1570 0.0363 0.5966 Al
0.1570 0.4637 0.5966 Al
0.1795 0.7500 0.6031 Al
0.3205 0.2500 0.1031 Al
0.3430 0.5363 0.0966 Al
0.3430 0.9637 0.0966 Al
0.6570 0.0363 0.9034 Al
0.6570 0.4637 0.9034 Al
0.6795 0.7500 0.8969 Al
0.8205 0.2500 0.3969 Al
0.8430 0.5363 0.4034 Al
0.8430 0.9637 0.4034 Al
0.1360 0.6044 0.3705 Ir
0.1360 0.8956 0.3705 Ir
0.3640 0.1044 0.8705 Ir
0.3640 0.3956 0.8705 Ir
0.6360 0.6044 0.1295 Ir
0.6360 0.8956 0.1295 Ir
0.8640 0.1044 0.6295 Ir
0.8640 0.3956 0.6295 Ir
```

Largest 10 diffraction maxima, sorted by position, 10 to 90 degrees two-theta:
| 2θ/deg | I_rel |
| --- | --- |
| 23.33 | 55 |
| 25.74 | 81 |
| 28.52 | 47 |
| 33.03 | 100 |
| 35.32 | 45 |
| 36.06 | 82 |
| 37.11 | 88 |
| 37.24 | 76 |
| 40.38 | 50 |
| 53.63 | 49 |

***

Record 2
Diffraction record for ReRh7. The powder XRD pattern is simulated, not measured: it uses a PBE-relaxed structure and Cu Kα (weighted mean of Kα1 and Kα2).
No peak broadening, texture or thermal motion is included.

Structure:
```
ReRh7
1.0
2.7216 0.0000 0.0000
0.0000 2.7216 0.0000
0.0000 0.0000 15.4115
Re Rh
1 7
direct
0.0000 0.0000 0.0000 Re
0.0000 0.0000 0.2531 Rh
0.0000 0.0000 0.5000 Rh
0.0000 0.0000 0.7469 Rh
0.5000 0.5000 0.1226 Rh
0.5000 0.5000 0.3750 Rh
0.5000 0.5000 0.6250 Rh
0.5000 0.5000 0.8774 Rh
```

Largest 10 diffraction maxima, sorted by position, 10 to 90 degrees two-theta:
| 2θ/deg | I_rel |
| --- | --- |
| 11.48 | 4 |
| 17.26 | 2 |
| 34.96 | 1 |
| 37.39 | 1 |
| 40.58 | 100 |
| 47.21 | 48 |
| 48.76 | 1 |
| 68.99 | 30 |
| 83.22 | 36 |
| 87.83 | 11 |

***

Record 3
Diffraction record for RbIn2ICl2. The powder XRD pattern is simulated, not measured: it uses a PBE-relaxed structure and Cu Kα (weighted mean of Kα1 and Kα2).
No peak broadening, texture or thermal motion is included.

Structure:
```
RbIn2ICl2
1.0
7.9592 0.0000 0.0000
0.0000 6.7531 0.0000
-2.5703 0.0000 10.4823
Rb In I Cl
2 4 2 4
direct
0.2298 0.2500 0.0636 Rb
0.7702 0.7500 0.9364 Rb
0.1614 0.5015 0.6596 In
0.1614 0.9985 0.6596 In
0.8386 0.0015 0.3404 In
0.8386 0.4985 0.3404 In
0.1310 0.7500 0.2533 I
0.8690 0.2500 0.7467 I
0.1651 0.7500 0.8716 Cl
0.4005 0.2500 0.8198 Cl
0.5995 0.7500 0.1802 Cl
0.8349 0.2500 0.1284 Cl
```

Largest 10 diffraction maxima, sorted by position, 10 to 90 degrees two-theta:
| 2θ/deg | I_rel |
| --- | --- |
| 11.45 | 100 |
| 12.50 | 40 |
| 16.92 | 35 |
| 22.65 | 44 |
| 27.76 | 35 |
| 28.47 | 35 |
| 28.77 | 32 |
| 29.31 | 54 |
| 37.68 | 54 |
| 43.05 | 31 |

***

Record 4
Diffraction record for GaSn2. The powder XRD pattern is simulated, not measured: it uses a PBE-relaxed structure and Cu Kα (weighted mean of Kα1 and Kα2).
No peak broadening, texture or thermal motion is included.

Structure:
```
GaSn2
1.0
2.6915 -2.7357 0.0000
2.6915 2.7357 0.0000
-2.5221 0.0000 5.0653
Ga Sn
1 2
direct
0.0000 0.0000 0.0000 Ga
0.3368 0.3368 0.6775 Sn
0.6632 0.6632 0.3225 Sn
```

Largest 10 diffraction maxima, sorted by position, 10 to 90 degrees two-theta:
| 2θ/deg | I_rel |
| --- | --- |
| 32.74 | 60 |
| 33.31 | 57 |
| 34.98 | 100 |
| 35.84 | 93 |
| 47.40 | 43 |
| 59.89 | 22 |
| 60.03 | 22 |
| 60.46 | 21 |
| 61.75 | 20 |
| 64.90 | 17 |